Pr2DyMg2: theoretical powder diffraction line list (Cu Kα), based on the PBE geometry in Alexandria.
Peak positions follow from Bragg's law for the DFT cell and can differ from measured ones.

Main lines, in order of rising 2θ (10° ≤ 2θ ≤ 90°):
| 2theta | I (rel.) | index |
| --- | --- | --- |
| 20.37 | 102 | 0 1 2 |
| 23.26 | 161 | 1 0 0 |
| 24.75 | 235 | 0 1 3 |
| 31.44 | 176 | 0 0 5 |
| 32.40 | 1000 | 0 2 0 |
| 42.05 | 82 | 1 0 5 |
| 45.81 | 124 | 0 2 5 |
| 54.10 | 81 | 1 2 5 |
| 56.57 | 95 | 1 1 -8 |
| 57.85 | 150 | 1 3 -3 |

Cell and atoms:
Unit cell a=3.8592 b=5.5177 c=14.3599 alpha=90.00 beta=97.75 gamma=90.00
Space group P2_1/m (No. 11)
Symmetry-distinct sites (fractional):
1 Pr 0.0454 0.2500 0.0903 x2
2 Pr 0.2357 0.2500 0.4731 x2
3 Dy 0.1497 0.7500 0.2982 x2
4 Mg 0.3597 0.7500 0.7199 x2
5 Mg 0.4456 0.2500 0.8907 x2

***

Pr8Dy5Mg: theoretical powder diffraction line list (Cu Kα), based on the PBE geometry in Alexandria.
Peak positions follow from Bragg's law for the DFT cell and can differ from measured ones.

Main lines, in order of rising 2θ (10° ≤ 2θ ≤ 90°):
| 2theta | I (rel.) | index |
| --- | --- | --- |
| 30.79 | 1000 | 2 2 1 |
| 31.13 | 527 | -2 1 1 |
| 31.42 | 541 | 1 1 3 |
| 32.24 | 454 | 0 3 2 |
| 32.50 | 433 | 3 0 2 |
| 34.87 | 106 | 0 1 -2 |
| 42.42 | 175 | 1 1 -2 |
| 46.30 | 152 | 3 -3 0 |
| 54.22 | 108 | 4 1 0 |
| 56.99 | 175 | 5 -1 1 |

Cell and atoms:
Unit cell a=8.5505 b=8.6446 c=8.8144 alpha=61.36 beta=61.24 gamma=86.39
Space group P1 (No. 1)
Symmetry-distinct sites (fractional):
1 Pr 0.0000 0.0000 0.0000 x1
2 Pr 0.0742 0.6954 0.3833 x1
3 Pr 0.2020 0.2114 0.1755 x1
4 Pr 0.3023 0.9348 0.5258 x1
5 Pr 0.4802 0.1803 0.7438 x1
6 Pr 0.6799 0.3286 0.9723 x1
7 Pr 0.7561 0.9908 0.4877 x1
8 Pr 0.8731 0.5066 0.1762 x1
9 Dy 0.1657 0.4638 0.7707 x1
10 Dy 0.3544 0.6737 0.9352 x1
11 Dy 0.3785 0.3992 0.3758 x1
12 Dy 0.5737 0.8612 0.0750 x1
13 Dy 0.6091 0.6428 0.4956 x1
14 Mg 0.9331 0.2447 0.5960 x1